Ce4PmSb5: theoretical X-ray diffraction stick pattern (Cu Kα, 1.54184 Å), based on a cell relaxed with PBE.
Kinematic intensities with the Lorentz-polarization factor, no thermal factor.

Crystal structure
Cell: 4.4929 6.3647 22.5354 Å, 90.00 90.00 90.00°
Space group Immm (No. 71)
Unique sites:
Ce 0.0000 0.0000 0.0997 (multiplicity 4)
Ce 0.0000 0.0000 0.3003 (multiplicity 4)
Pm 0.0000 0.0000 0.5000 (multiplicity 2)
Sb 0.0000 0.5000 0.1003 (multiplicity 4)
Sb 0.0000 0.5000 0.3002 (multiplicity 4)
Sb 0.0000 0.5000 0.5000 (multiplicity 2)

The 12 most intense peaks (10 to 90 degrees two-theta), sorted by position:
hkl 1 0 5, 2θ = 28.0°, intensity 100; hkl 1 2 5, 2θ = 40.1°, intensity 64; hkl 2 0 0, 2θ = 40.1°, intensity 13; hkl 0 2 10, 2θ = 49.6°, intensity 14; hkl 2 2 0, 2θ = 49.7°, intensity 14; hkl 2 0 10, 2θ = 58.0°, intensity 13; hkl 2 2 10, 2θ = 65.6°, intensity 29; hkl 3 0 5, 2θ = 65.7°, intensity 6; hkl 1 2 15, 2θ = 72.7°, intensity 13; hkl 3 2 5, 2θ = 72.9°, intensity 13; hkl 0 0 20, 2θ = 86.3°, intensity 1; hkl 2 4 10, 2θ = 86.5°, intensity 6